1.
Computed powder XRD pattern of CsRbCrI6 for CuKα, from a crystal structure in Alexandria, relaxed with GGA-PBE.

The 12 most intense peaks (5 to 70 degrees two-theta), by angle:
two_theta, Rel. int., index
11.5, 40, 0 2 0
17.2, 41, 0 2 1
23.1, 20, 2 2 0
23.8, 100, 2 0 -1
28.1, 22, 1 1 2
30.8, 18, 2 4 0
32.7, 50, 1 3 -2
33.4, 90, 3 1 1
35.0, 21, 3 3 0
50.3, 27, 2 4 3
53.6, 24, 3 7 1
54.5, 24, 4 4 2

Crystal structure
abc: 8.872 15.381 6.966
angles: 90.00 90.04 90.00
Space group C2 (No. 5)
Unique sites:
Cs 0.000 0.000 0.000
Rb 0.000 0.333 0.500
Cr 0.000 0.667 0.500
I 0.124 0.540 0.273
I 0.127 0.792 0.273
I 0.247 0.167 0.274



2.
Computed powder XRD pattern of BaMnBi2S4 for CuKα, from a crystal structure in Alexandria, relaxed with GGA-PBE.

The 12 most intense peaks (5 to 70 degrees two-theta), by angle:
two_theta, Rel. int., index
11.2, 43, 0 0 2
16.8, 19, 0 2 2
22.5, 92, 0 0 4
25.5, 80, 1 1 2
27.4, 48, 0 4 2
29.0, 100, 1 3 0
31.2, 40, 1 3 2
37.0, 62, 1 3 4
41.4, 24, 1 1 6
44.8, 23, 2 0 0
50.7, 21, 2 0 4
55.3, 21, 1 3 8

Crystal structure
abc: 4.042 14.263 15.791
angles: 90.00 90.00 90.00
Space group Cmcm (No. 63)
Unique sites:
Ba 0.000 0.034 0.250
Mn 0.000 0.224 0.750
Bi 0.000 0.351 0.012
S 0.000 0.000 0.000
S 0.000 0.344 0.649
S 0.000 0.365 0.250



3.
Computed powder XRD pattern of Ac4BrN3 for CuKα, from a crystal structure in Alexandria, relaxed with GGA-PBE.

The 12 most intense peaks (5 to 70 degrees two-theta), by angle:
two_theta, Rel. int., index
26.5, 16, 1 0 1
27.0, 44, 1 0 2
27.9, 23, 1 0 3
29.1, 42, 1 0 4
30.6, 71, 1 0 5
31.1, 36, 0 0 10
32.4, 100, 1 0 6
46.4, 83, 1 1 0
55.0, 15, 1 0 15
56.9, 41, 1 1 10
57.7, 25, 0 0 18
58.1, 18, 1 0 16

Crystal structure
abc: 3.9120 3.9120 28.7600
angles: 90.00 90.00 120.00
Space group P6_3/mmc (No. 194)
Unique sites:
Ac 0.0000 0.0000 0.1611
Ac 0.3333 0.6667 0.0538
Br 0.3333 0.6667 0.2500
N 0.0000 0.0000 0.0000
N 0.3333 0.6667 0.6171



4.
Computed powder XRD pattern of Nb3Tc for CuKα, from a crystal structure in Alexandria, relaxed with GGA-PBE.

The 2 most intense peaks (5 to 70 degrees two-theta), by angle:
two_theta, Rel. int., index
39.2, 100, 2 2 0
56.7, 17, 4 0 0

Crystal structure
abc: 6.497 6.497 6.497
angles: 90.00 90.00 90.00
Space group Fm-3m (No. 225)
Unique sites:
Nb 0.000 0.000 0.000
Nb 0.250 0.250 0.250
Tc 0.000 0.000 0.500



5.
Computed powder XRD pattern of Ce2U4As3N2 for CuKα, from a crystal structure in Alexandria, relaxed with GGA-PBE.

The 12 most intense peaks (5 to 70 degrees two-theta), by angle:
two_theta, Rel. int., index
7.2, 38, 0 0 2
14.5, 18, 0 0 4
21.9, 22, 0 0 6
29.1, 57, 1 1 2
29.3, 17, 0 0 8
31.8, 24, 1 1 4
35.9, 100, 1 1 6
40.2, 53, 2 0 0
46.2, 13, 2 0 6
50.5, 16, 2 0 8
53.5, 18, 1 1 12
58.2, 18, 2 2 0

Crystal structure
abc: 4.487 4.487 24.394
angles: 90.00 90.00 90.00
Space group I4/mmm (No. 139)
Unique sites:
Ce 0.000 0.000 0.200
U 0.000 0.500 0.082
As 0.000 0.000 0.329
As 0.000 0.000 0.500
N 0.000 0.000 0.098



6.
Computed powder XRD pattern of Cd2Sn2Mo for CuKα, from a crystal structure in Alexandria, relaxed with GGA-PBE.

The 12 most intense peaks (5 to 70 degrees two-theta), by angle:
two_theta, Rel. int., index
32.4, 22, 2 0 1
33.4, 7, 2 2 0
34.6, 100, 2 1 1
37.4, 37, 3 1 0
42.9, 6, 3 2 0
43.9, 5, 3 1 1
45.1, 16, 0 0 2
49.5, 4, 4 1 0
51.0, 6, 3 3 0
54.8, 13, 4 1 1
60.0, 18, 3 1 2
67.0, 7, 5 1 1

Crystal structure
abc: 7.597 7.597 4.017
angles: 90.00 90.00 90.00
Space group P4/mbm (No. 127)
Unique sites:
Cd 0.134 0.366 0.000
Sn 0.173 0.673 0.500
Mo 0.000 0.000 0.000



7.
Computed powder XRD pattern of Y2PN for CuKα, from a crystal structure in Alexandria, relaxed with GGA-PBE.

The 12 most intense peaks (5 to 70 degrees two-theta), by angle:
two_theta, Rel. int., index
28.6, 16, 0 0 6
29.4, 55, 0 1 2
33.9, 100, 1 0 4
36.9, 9, 0 1 5
43.5, 5, 0 0 9
48.1, 30, 0 1 8
49.1, 35, 1 1 0
57.0, 5, 1 0 10
57.9, 14, 1 1 6
58.3, 8, 2 0 2
61.0, 17, 0 2 4
67.7, 8, 1 1 9

Crystal structure
abc: 3.7081 3.7081 18.7127
angles: 90.00 90.00 120.00
Space group R-3m (No. 166, hexagonal axes)
Unique sites:
Y 0.0000 0.0000 0.2396
P 0.0000 0.0000 0.0000
N 0.0000 0.0000 0.5000



8.
Computed powder XRD pattern of NdErGaSi for CuKα, from a crystal structure in Alexandria, relaxed with GGA-PBE.

The 12 most intense peaks (5 to 70 degrees two-theta), by angle:
two_theta, Rel. int., index
22.0, 17, 0 1 1
27.7, 43, 1 0 2
31.5, 100, 1 1 1
32.0, 53, 0 1 3
32.8, 27, 0 0 4
39.4, 41, 1 1 3
40.0, 15, 1 0 4
41.4, 25, 0 2 0
45.4, 19, 2 0 0
50.5, 17, 1 2 2
52.1, 14, 1 1 5
56.6, 21, 2 1 3

Crystal structure
abc: 3.995 4.360 10.919
angles: 90.00 90.00 90.00
Space group Amm2 (No. 38)
Unique sites:
Nd 0.000 0.000 0.000
Er 0.500 0.000 0.281
Ga 0.500 0.000 0.572
Si 0.000 0.000 0.719



9.
Computed powder XRD pattern of CeAg2I6 for CuKα, from a crystal structure in Alexandria, relaxed with GGA-PBE.

The 12 most intense peaks (5 to 70 degrees two-theta), by angle:
two_theta, Rel. int., index
12.4, 87, 1 0 0
13.8, 26, 0 0 2
14.9, 69, 1 0 -2
24.2, 100, 1 2 -1
24.4, 58, 1 2 0
26.1, 45, 1 0 -4
28.2, 39, 1 1 -4
30.2, 55, 2 1 1
32.8, 28, 2 2 0
36.7, 39, 2 1 -5
43.0, 27, 1 1 5
43.9, 27, 3 2 -4

Crystal structure
abc: 7.654 8.468 13.714
angles: 90.00 111.09 90.00
Space group P2_1/c (No. 14)
Unique sites:
Ce 0.000 0.000 0.000
Ag 0.102 0.091 0.599
I 0.087 0.053 0.807
I 0.250 0.696 0.044
I 0.363 0.166 0.127



10.
Computed powder XRD pattern of CsTlTcO4 for CuKα, from a crystal structure in Alexandria, relaxed with GGA-PBE.

The 12 most intense peaks (5 to 70 degrees two-theta), by angle:
two_theta, Rel. int., index
9.4, 16, 0 0 1
24.6, 100, 1 1 1
26.7, 67, 1 1 -2
28.1, 39, 0 2 0
28.6, 20, 0 0 3
32.4, 16, 2 0 -1
35.4, 12, 2 1 -1
40.5, 22, 0 2 3
40.9, 13, 2 0 2
43.4, 17, 2 2 -1
47.7, 15, 1 3 1
48.9, 14, 1 3 -2

Crystal structure
abc: 5.573 6.347 9.520
angles: 90.00 100.07 90.00
Space group P2_1/m (No. 11)
Unique sites:
Cs 0.138 0.250 0.128
Tl 0.245 0.750 0.499
Tc 0.428 0.250 0.780
O 0.111 0.250 0.787
O 0.393 0.750 0.047
O 0.494 0.530 0.325



11.
Computed powder XRD pattern of Ac4Tl3In for CuKα, from a crystal structure in Alexandria, relaxed with GGA-PBE.

The 12 most intense peaks (5 to 70 degrees two-theta), by angle:
two_theta, Rel. int., index
26.9, 100, 1 1 1
27.9, 26, 0 1 3
28.7, 28, 0 0 4
33.9, 74, 1 1 3
34.5, 20, 1 0 4
35.8, 29, 0 2 0
38.0, 25, 2 0 0
46.6, 16, 0 2 4
47.9, 19, 1 0 6
53.2, 19, 2 2 0
54.8, 15, 0 1 7
68.7, 16, 2 1 7

Crystal structure
abc: 4.733 5.011 12.436
angles: 90.00 90.00 90.00
Space group Pmm2 (No. 25)
Unique sites:
Ac 0.000 0.000 0.000
Ac 0.000 0.500 0.497
Ac 0.500 0.000 0.725
Ac 0.500 0.500 0.224
Tl 0.000 0.500 0.778
Tl 0.500 0.000 0.443
Tl 0.500 0.500 0.944
In 0.000 0.000 0.284



12.
Computed powder XRD pattern of PmGa12Co6 for CuKα, from a crystal structure in Alexandria, relaxed with GGA-PBE.

The 12 most intense peaks (5 to 70 degrees two-theta), by angle:
two_theta, Rel. int., index
27.0, 33, 2 1 1
32.8, 15, 1 2 2
35.7, 100, 1 3 1
36.2, 58, 1 1 3
40.4, 22, 3 1 2
42.8, 32, 3 2 1
43.2, 35, 0 3 3
46.9, 22, 2 3 2
47.5, 38, 0 2 4
49.8, 23, 3 3 0
52.8, 45, 5 0 2
66.2, 23, 3 1 5

Crystal structure
abc: 10.9956 10.9956 8.3550
angles: 90.00 90.00 120.00
Space group R-3m (No. 166, hexagonal axes)
Unique sites:
Pm 0.0000 0.0000 0.0000
Ga 0.0000 0.3820 0.5000
Ga 0.0893 0.1787 0.3266
Co 0.0545 0.5272 0.2554